Theoretical powder XRD pattern
Compound: CaSm2Pu3Te6
Radiation: Cu Ka
Structure: a cell relaxed with PBE

Main lines, sorted by position (5° ≤ 2θ ≤ 70°):
hkl 2 0 -1, 12.14°, I 89
hkl 4 0 1, 23.47°, I 61
hkl 6 0 0, 28.35°, I 1000
hkl 7 1 -2, 40.46°, I 386
hkl 5 1 2, 40.56°, I 256
hkl 0 2 0, 40.68°, I 127
hkl 8 0 -4, 50.03°, I 70
hkl 4 0 4, 50.14°, I 69
hkl 6 2 0, 50.32°, I 138
hkl 12 0 0, 58.66°, I 130
hkl 3 1 -6, 66.24°, I 60
hkl 13 1 -2, 66.38°, I 180

Structure:
Cell: 19.426 4.436 8.930 Å, 90.00 103.42 90.00°
Space group C2/m (No. 12)
Symmetry-distinct sites (fractional):
Ca: 0.000 0.000 0.000 x2
Sm: 0.168 0.500 0.338 x4
Pu: 0.000 0.000 0.500 x2
Pu: 0.167 0.500 0.834 x4
Te: 0.000 0.500 0.250 x4
Te: 0.166 0.000 0.586 x4
Te: 0.167 0.000 0.084 x4